Entry 1:
Ho4NiB14: calculated powder diffraction line list (CuKα), based on a PBE-relaxed structure.
Intensities are scaled so that the largest is 100.

Principal peaks in the range 15° ≤ 2θ ≤ 90°, low angle first:
23.82°, rel. 65; 24.70°, rel. 30; 27.66°, rel. 86; 34.57°, rel. 37; 36.82°, rel. 100; 46.67°, rel. 26; 52.32°, rel. 29; 56.97°, rel. 24; 58.25°, rel. 32; 74.29°, rel. 20

```
data_Ho4NiB14
_space_group_name_H-M_alt 'P 4/m n c'
_space_group_IT_number 128
_space_group_name_Hall '-P 4 2n'
_cell_length_a 7.2102
_cell_length_b 7.2102
_cell_length_c 7.4722
_cell_angle_alpha 90.00
_cell_angle_beta 90.00
_cell_angle_gamma 90.00
loop_
_atom_site_label
_atom_site_type_symbol
_atom_site_fract_x
_atom_site_fract_y
_atom_site_fract_z
_atom_site_occupancy
Ho1 Ho 0.1682 0.3063 0.0000 1
Ni1 Ni 0.0000 0.0000 0.5000 1
B1 B 0.0000 0.0000 0.1112 1
B2 B 0.0394 0.8253 0.2677 1
B3 B 0.0893 0.5893 0.2500 1
```


Entry 2:
Ho2Ni3B6: calculated powder diffraction line list (CuKα), based on a PBE-relaxed structure.
Intensities are scaled so that the largest is 100.

Principal peaks in the range 15° ≤ 2θ ≤ 90°, low angle first:
23.08°, rel. 23; 25.70°, rel. 37; 31.05°, rel. 51; 33.09°, rel. 39; 40.73°, rel. 100; 41.67°, rel. 17; 47.17°, rel. 16; 49.60°, rel. 12; 52.81°, rel. 14; 62.54°, rel. 14

```
data_Ho2Ni3B6
_space_group_name_H-M_alt 'C m m m'
_space_group_IT_number 65
_space_group_name_Hall '-C 2 2'
_cell_length_a 7.7073
_cell_length_b 8.6701
_cell_length_c 3.4668
_cell_angle_alpha 90.00
_cell_angle_beta 90.00
_cell_angle_gamma 90.00
loop_
_atom_site_label
_atom_site_type_symbol
_atom_site_fract_x
_atom_site_fract_y
_atom_site_fract_z
_atom_site_occupancy
Ho1 Ho 0.0000 0.2228 0.0000 1
Ni1 Ni 0.0000 0.5000 0.5000 1
Ni2 Ni 0.2256 0.5000 0.0000 1
B1 B 0.1131 0.0000 0.5000 1
B2 B 0.2345 0.3496 0.5000 1
```


Entry 3:
Ho2NiB10: calculated powder diffraction line list (CuKα), based on a PBE-relaxed structure.
Intensities are scaled so that the largest is 100.

Principal peaks in the range 15° ≤ 2θ ≤ 90°, low angle first:
21.51°, rel. 31; 22.76°, rel. 71; 28.14°, rel. 24; 31.51°, rel. 100; 32.41°, rel. 27; 39.23°, rel. 77; 40.07°, rel. 18; 43.83°, rel. 18; 46.48°, rel. 18; 49.94°, rel. 28

```
data_Ho2NiB10
_space_group_name_H-M_alt 'P b a m'
_space_group_IT_number 55
_cell_length_a 5.5319
_cell_length_b 11.0396
_cell_length_c 4.1315
_cell_angle_alpha 90.00
_cell_angle_beta 90.00
_cell_angle_gamma 90.00
loop_
_space_group_symop_operation_xyz
'x,y,z'
'-x,-y,-z'
'-x,-y,z'
'x,y,-z'
'x+1/2,-y+1/2,-z'
'-x+1/2,y+1/2,z'
'-x+1/2,y+1/2,-z'
'x+1/2,-y+1/2,z'
loop_
_atom_site_label
_atom_site_type_symbol
_atom_site_fract_x
_atom_site_fract_y
_atom_site_fract_z
_atom_site_occupancy
Ho1 Ho 0.1922 0.1366 0.0000 1
Ni1 Ni 0.0000 0.5000 0.5000 1
B1 B 0.0344 0.3125 0.5000 1
B2 B 0.1256 0.9593 0.5000 1
B3 B 0.1542 0.8023 0.5000 1
B4 B 0.2040 0.3857 0.1991 1
```


Entry 4:
Ho3Ni19B10: calculated powder diffraction line list (CuKα), based on a PBE-relaxed structure.
Intensities are scaled so that the largest is 100.

Principal peaks in the range 15° ≤ 2θ ≤ 90°, low angle first:
35.66°, rel. 49; 37.43°, rel. 41; 37.98°, rel. 41; 38.42°, rel. 60; 40.26°, rel. 94; 41.56°, rel. 100; 46.40°, rel. 38; 46.64°, rel. 37; 47.36°, rel. 48; 48.87°, rel. 44

```
data_Ho3Ni19B10
_space_group_name_H-M_alt 'C 1 2/m 1'
_space_group_IT_number 12
_cell_length_a 13.1552
_cell_length_b 8.6924
_cell_length_c 5.7582
_cell_angle_alpha 90.00
_cell_angle_beta 91.38
_cell_angle_gamma 90.00
loop_
_space_group_symop_operation_xyz
'x,y,z'
'-x,-y,-z'
'-x,y,-z'
'x,-y,z'
'x+1/2,y+1/2,z'
'-x+1/2,-y+1/2,-z'
'-x+1/2,y+1/2,-z'
'x+1/2,-y+1/2,z'
loop_
_atom_site_label
_atom_site_type_symbol
_atom_site_fract_x
_atom_site_fract_y
_atom_site_fract_z
_atom_site_occupancy
Ho1 Ho 0.0000 0.0000 0.0000 1
Ho2 Ho 0.1257 0.5000 0.3858 1
Ni1 Ni 0.0000 0.0000 0.5000 1
Ni2 Ni 0.0296 0.2594 0.6990 1
Ni3 Ni 0.1221 0.5000 0.8733 1
Ni4 Ni 0.1277 0.2495 0.0737 1
Ni5 Ni 0.1622 0.0000 0.7038 1
Ni6 Ni 0.1818 0.0000 0.2709 1
Ni7 Ni 0.2188 0.2639 0.6977 1
B1 B 0.0000 0.3847 0.0000 1
B2 B 0.1179 0.1832 0.4309 1
B3 B 0.2460 0.1035 0.9748 1
```